# AsI3F6
Simulated PXRD pattern, Cu Kα. Input: a cell relaxed with PBE.
Intensities are scaled so that the largest is 100.

Largest 12 diffraction maxima, by intensity, 2θ = 15–90°:
2theta, I (rel.)
22.9, 100
19.8, 78
21.7, 65
25.7, 61
20.5, 55
20.1, 45
30.4, 43
17.1, 40
34.9, 32
24.6, 32
17.3, 31
43.2, 30

Structural model:
Lattice parameters (Å, degrees): 6.0716 8.2871 10.6132 90.43 101.66 97.80
Atoms (fractional coordinates):
1 As 0.0532 0.2759 0.3059
2 As 0.9468 0.7241 0.6941
3 I 0.2768 0.2688 0.9636
4 I 0.3142 0.3251 0.7175
5 I 0.4009 0.8810 0.3271
6 I 0.5991 0.1190 0.6729
7 I 0.6858 0.6749 0.2825
8 I 0.7232 0.7312 0.0364
9 F 0.0275 0.4682 0.2344
10 F 0.0902 0.0827 0.3760
11 F 0.1436 0.6918 0.5987
12 F 0.1634 0.8203 0.8180
13 F 0.2605 0.2440 0.2114
14 F 0.2797 0.3706 0.4281
15 F 0.7203 0.6294 0.5719
16 F 0.7395 0.7560 0.7886
17 F 0.8366 0.1797 0.1820
18 F 0.8564 0.3082 0.4013
19 F 0.9098 0.9173 0.6240
20 F 0.9725 0.5318 0.7656

# Ca5P3O12F
Simulated PXRD pattern, Cu Kα. Input: a cell relaxed with PBE.
Intensities are scaled so that the largest is 100.

Largest 12 diffraction maxima, by intensity, 2θ = 15–90°:
2theta, I (rel.)
31.5, 100
32.6, 59
32.0, 39
49.2, 37
25.7, 36
46.4, 30
33.9, 27
39.5, 20
52.9, 17
50.1, 17
51.7, 16
28.7, 15

Structural model:
Lattice parameters (Å, degrees): 9.5009 9.5009 6.9198 90.00 90.00 120.00
Atoms (fractional coordinates):
1 Ca 0.0014 0.2460 0.2500
2 Ca 0.2446 0.9986 0.2500
3 Ca 0.2460 0.2446 0.7500
4 Ca 0.3333 0.6667 0.0011
5 Ca 0.3333 0.6667 0.4989
6 Ca 0.6667 0.3333 0.5011
7 Ca 0.6667 0.3333 0.9989
8 Ca 0.7540 0.7554 0.2500
9 Ca 0.7554 0.0014 0.7500
10 Ca 0.9986 0.7540 0.7500
11 P 0.0290 0.3983 0.7500
12 P 0.3693 0.9710 0.7500
13 P 0.3983 0.3693 0.2500
14 P 0.6017 0.6307 0.7500
15 P 0.6307 0.0290 0.2500
16 P 0.9710 0.6017 0.2500
17 O 0.0838 0.3408 0.5696
18 O 0.0838 0.3408 0.9304
19 O 0.1225 0.5881 0.7500
20 O 0.1573 0.6712 0.2500
21 O 0.2570 0.9162 0.5696
22 O 0.2570 0.9162 0.9304
23 O 0.3288 0.4861 0.2500
24 O 0.3408 0.2570 0.0696
25 O 0.3408 0.2570 0.4304
26 O 0.4119 0.5344 0.7500
27 O 0.4656 0.8775 0.7500
28 O 0.4861 0.1573 0.7500
29 O 0.5139 0.8427 0.2500
30 O 0.5344 0.1225 0.2500
31 O 0.5881 0.4656 0.2500
32 O 0.6592 0.7430 0.5696
33 O 0.6592 0.7430 0.9304
34 O 0.6712 0.5139 0.7500
35 O 0.7430 0.0838 0.0696
36 O 0.7430 0.0838 0.4304
37 O 0.8427 0.3288 0.7500
38 O 0.8775 0.4119 0.2500
39 O 0.9162 0.6592 0.0696
40 O 0.9162 0.6592 0.4304
41 F 0.0000 0.0000 0.2500
42 F 0.0000 0.0000 0.7500

# EuHg
Simulated PXRD pattern, Cu Kα. Input: a cell relaxed with PBE.
Intensities are scaled so that the largest is 100.

Largest 10 diffraction maxima, by intensity, 2θ = 15–90°:
2theta, I (rel.)
32.4, 100
57.8, 39
46.5, 19
77.3, 17
67.9, 12
86.3, 4
22.8, 2
52.4, 1
40.0, 1
72.6, 1

Structural model:
Lattice parameters (Å, degrees): 3.9043 3.9043 3.9043 90.00 90.00 90.00
Atoms (fractional coordinates):
1 Eu 0.0000 0.0000 0.0000
2 Hg 0.5000 0.5000 0.5000

# ErNi2B2
Simulated PXRD pattern, Cu Kα. Input: a cell relaxed with PBE.
Intensities are scaled so that the largest is 100.

Largest 12 diffraction maxima, by intensity, 2θ = 15–90°:
2theta, I (rel.)
38.2, 100
37.5, 67
32.6, 65
37.4, 43
26.6, 38
44.1, 38
21.7, 33
44.5, 29
31.8, 27
63.6, 21
56.3, 20
40.8, 20

Structural model:
Lattice parameters (Å, degrees): 4.9335 4.9335 6.8825 120.68 120.68 63.80
Atoms (fractional coordinates):
1 Er 0.1184 0.8816 0.7500
2 Er 0.8816 0.1184 0.2500
3 Ni 0.2775 0.4663 0.2998
4 Ni 0.4663 0.2775 0.7998
5 Ni 0.5337 0.7225 0.2002
6 Ni 0.7225 0.5337 0.7002
7 B 0.1561 0.5038 0.9776
8 B 0.4962 0.8439 0.5224
9 B 0.5038 0.1561 0.4776
10 B 0.8439 0.4962 0.0224

# Li4Zr3O8
Simulated PXRD pattern, Cu Kα. Input: a cell relaxed with PBE.
Intensities are scaled so that the largest is 100.

Largest 12 diffraction maxima, by intensity, 2θ = 15–90°:
2theta, I (rel.)
22.6, 100
41.3, 42
58.8, 25
17.4, 25
39.9, 23
36.2, 21
24.4, 18
47.8, 13
35.3, 11
33.8, 11
47.4, 11
55.0, 10

Structural model:
Lattice parameters (Å, degrees): 5.4652 5.4652 6.2161 90.00 90.00 111.56
Atoms (fractional coordinates):
1 Li 0.0000 0.0000 0.0000
2 Li 0.0000 0.5000 0.7446
3 Li 0.5000 0.0000 0.2554
4 Li 0.5000 0.5000 0.5000
5 Zr 0.0000 0.0000 0.5000
6 Zr 0.0000 0.5000 0.2227
7 Zr 0.5000 0.0000 0.7773
8 O 0.2191 0.2637 0.2677
9 O 0.2327 0.7673 0.0000
10 O 0.2410 0.7590 0.5000
11 O 0.2637 0.2191 0.7323
12 O 0.7363 0.7809 0.7323
13 O 0.7590 0.2410 0.5000
14 O 0.7673 0.2327 0.0000
15 O 0.7809 0.7363 0.2677

# K2AgAs
Simulated PXRD pattern, Cu Kα. Input: a cell relaxed with PBE.
Intensities are scaled so that the largest is 100.

Largest 12 diffraction maxima, by intensity, 2θ = 15–90°:
2theta, I (rel.)
17.5, 100
32.3, 87
32.5, 85
28.7, 76
41.2, 71
37.0, 65
34.9, 45
52.2, 36
49.1, 34
20.3, 31
53.1, 29
38.0, 24

Structural model:
Lattice parameters (Å, degrees): 10.1302 7.9730 6.1337 90.00 90.00 90.00
Atoms (fractional coordinates):
1 K 0.1727 0.1432 0.2500
2 K 0.1727 0.8568 0.7500
3 K 0.3273 0.3568 0.7500
4 K 0.3273 0.6432 0.2500
5 K 0.6727 0.3568 0.7500
6 K 0.6727 0.6432 0.2500
7 K 0.8273 0.1432 0.2500
8 K 0.8273 0.8568 0.7500
9 Ag 0.0000 0.5000 0.0000
10 Ag 0.0000 0.5000 0.5000
11 Ag 0.5000 0.0000 0.0000
12 Ag 0.5000 0.0000 0.5000
13 As 0.0000 0.2409 0.7500
14 As 0.0000 0.7591 0.2500
15 As 0.5000 0.2591 0.2500
16 As 0.5000 0.7409 0.7500